The following is a theoretical powder X-ray diffraction pattern of HfPaPb2O8. It was derived from a PBE-relaxed structure, using copper Kα.

Atomic structure:
Lattice parameters (Å, degrees): 6.956 6.956 7.431 90.00 90.00 90.00
Space group I-4m2 (No. 119)
One atom of each set of equivalent atoms:
Hf 0.000 0.000 0.000 (multiplicity 2)
Pa 0.000 0.500 0.250 (multiplicity 2)
Pb 0.000 0.000 0.500 (multiplicity 2)
Pb 0.000 0.500 0.750 (multiplicity 2)
O 0.000 0.186 0.260 (multiplicity 8)
O 0.000 0.306 0.967 (multiplicity 8)

Largest 6 diffraction maxima, by intensity, 5° ≤ 2θ ≤ 70°:
hkl	d_spacing	two_theta	Rel. int.
1 1 2	2.965	30.14	100
2 0 0	3.478	25.61	89
3 1 2	1.893	48.07	69
2 2 0	2.459	36.54	27
2 0 4	1.639	56.13	21
3 3 2	1.500	61.85	19

=====

The following is a theoretical powder X-ray diffraction pattern of LuTaV4. It was derived from a PBE-relaxed structure, using copper Kα.

Atomic structure:
Lattice parameters (Å, degrees): 7.310 7.310 7.310 90.00 90.00 90.00
Space group F-43m (No. 216)
One atom of each set of equivalent atoms:
Lu 0.000 0.000 0.000 (multiplicity 4)
Ta 0.250 0.250 0.250 (multiplicity 4)
V 0.125 0.125 0.625 (multiplicity 16)

Largest 6 diffraction maxima, by intensity, 5° ≤ 2θ ≤ 70°:
hkl	d_spacing	two_theta	Rel. int.
3 1 1	2.204	40.95	100
2 2 0	2.584	34.71	80
1 1 1	4.220	21.05	31
5 1 1	1.407	66.46	31
4 2 2	1.492	62.22	30
2 2 2	2.110	42.86	9

=====

The following is a theoretical powder X-ray diffraction pattern of Tb15NdIn4. It was derived from a PBE-relaxed structure, using copper Kα.

Atomic structure:
Lattice parameters (Å, degrees): 4.875 4.875 24.853 90.00 90.00 90.00
Space group P4/mmm (No. 123)
One atom of each set of equivalent atoms:
Tb 0.000 0.000 0.000 (multiplicity 1)
Tb 0.000 0.000 0.206 (multiplicity 2)
Tb 0.000 0.000 0.402 (multiplicity 2)
Tb 0.000 0.500 0.107 (multiplicity 4)
Tb 0.000 0.500 0.304 (multiplicity 4)
Tb 0.000 0.500 0.500 (multiplicity 2)
Nd 0.500 0.500 0.000 (multiplicity 1)
In 0.500 0.500 0.207 (multiplicity 2)
In 0.500 0.500 0.402 (multiplicity 2)

Largest 6 diffraction maxima, by intensity, 5° ≤ 2θ ≤ 70°:
hkl	d_spacing	two_theta	Rel. int.
1 1 5	2.833	31.59	100
2 0 0	2.437	36.88	34
3 1 5	1.472	63.15	27
2 0 10	1.740	52.59	22
0 0 10	2.485	36.14	16
2 2 10	1.416	65.96	12